No. 1
Structure and calculated powder diffractogram of CaNiO2 (the GGA+U geometry in the Materials Project; λ = 1.5418 Å (Cu Kα)).
No peak broadening, texture or thermal motion is included.

Structural model:
Cell lengths 3.1296, 8.1361, 8.2754 Å; angles 77.28, 80.51, 89.77 degrees
Sites, in units of the cell vectors:
Ca 0.1316 0.3950 0.2674
Ca 0.2671 0.1908 0.9621
Ca 0.7329 0.8092 0.0379
Ca 0.8684 0.6050 0.7326
Ni 0.0804 0.7353 0.3700
Ni 0.3951 0.9543 0.6881
Ni 0.6049 0.0457 0.3120
Ni 0.9196 0.2647 0.6300
O 0.1605 0.9484 0.1895
O 0.3068 0.7256 0.8733
O 0.3809 0.3947 0.7155
O 0.4799 0.1837 0.4916
O 0.5201 0.8163 0.5084
O 0.6191 0.6053 0.2845
O 0.6932 0.2744 0.1267
O 0.8395 0.0516 0.8105

Peak list (10 most intense, 10 to 80 degrees two-theta, sorted by position)
2θ = 11.14°, I = 100.0; 2θ = 22.36°, I = 39.5; 2θ = 33.24°, I = 45.2; 2θ = 33.79°, I = 33.2; 2θ = 35.33°, I = 49.2; 2θ = 38.04°, I = 34.2; 2θ = 38.37°, I = 39.3; 2θ = 42.95°, I = 41.5; 2θ = 45.20°, I = 51.3; 2θ = 59.05°, I = 28.5



No. 2
Structure and calculated powder diffractogram of CaNiO2 (the GGA+U geometry in the Materials Project; λ = 1.5418 Å (Cu Kα)).
No peak broadening, texture or thermal motion is included.

Structural model:
Cell lengths 3.7873, 3.7873, 3.2078 Å; angles 90.00, 90.00, 90.00 degrees
Sites, in units of the cell vectors:
Ca 0.0000 0.0000 0.0000
Ni 0.5000 0.5000 0.5000
O 0.0000 0.5000 0.5000
O 0.5000 0.0000 0.5000

Peak list (10 most intense, 10 to 80 degrees two-theta, sorted by position)
2θ = 23.49°, I = 6.9; 2θ = 27.81°, I = 15.3; 2θ = 33.46°, I = 30.7; 2θ = 36.71°, I = 100.0; 2θ = 48.05°, I = 36.3; 2θ = 57.46°, I = 9.9; 2θ = 61.96°, I = 38.4; 2θ = 68.15°, I = 8.0; 2θ = 70.30°, I = 9.9; 2θ = 78.08°, I = 14.1



No. 3
Structure and calculated powder diffractogram of CaNi2O4 (the GGA+U geometry in the Materials Project; λ = 1.5418 Å (Cu Kα)).
No peak broadening, texture or thermal motion is included.

Structural model:
Cell lengths 8.9911, 3.0283, 10.5657 Å; angles 90.00, 90.00, 90.00 degrees
Sites, in units of the cell vectors:
Ca 0.2426 0.2500 0.1600
Ca 0.2574 0.7500 0.6600
Ca 0.7426 0.2500 0.3400
Ca 0.7574 0.7500 0.8400
Ni 0.0613 0.2500 0.3878
Ni 0.0836 0.2500 0.9000
Ni 0.4164 0.7500 0.4000
Ni 0.4387 0.7500 0.8878
Ni 0.5613 0.2500 0.1122
Ni 0.5836 0.2500 0.6000
Ni 0.9164 0.7500 0.1000
Ni 0.9387 0.7500 0.6122
O 0.0266 0.7500 0.7868
O 0.0812 0.2500 0.5749
O 0.1162 0.7500 0.0230
O 0.2068 0.7500 0.3401
O 0.2932 0.2500 0.8401
O 0.3838 0.2500 0.5230
O 0.4188 0.7500 0.0749
O 0.4734 0.2500 0.2868
O 0.5266 0.7500 0.7132
O 0.5812 0.2500 0.9251
O 0.6162 0.7500 0.4770
O 0.7068 0.7500 0.1599
O 0.7932 0.2500 0.6599
O 0.8838 0.2500 0.9770
O 0.9188 0.7500 0.4251
O 0.9734 0.2500 0.2132

Peak list (10 most intense, 10 to 80 degrees two-theta, sorted by position)
2θ = 19.75°, I = 27.5; 2θ = 33.94°, I = 50.9; 2θ = 34.40°, I = 100.0; 2θ = 35.60°, I = 85.1; 2θ = 35.75°, I = 39.8; 2θ = 40.55°, I = 27.5; 2θ = 50.10°, I = 50.1; 2θ = 50.57°, I = 28.6; 2θ = 61.21°, I = 24.0; 2θ = 62.31°, I = 26.9



No. 4
Structure and calculated powder diffractogram of CaNi2O4 (the GGA+U geometry in the Materials Project; λ = 1.5418 Å (Cu Kα)).
No peak broadening, texture or thermal motion is included.

Structural model:
Cell lengths 6.1797, 6.1797, 20.2150 Å; angles 101.10, 101.10, 59.61 degrees
Sites, in units of the cell vectors:
Ca 0.0000 0.0000 0.0000
Ca 0.0181 0.0181 0.6013
Ca 0.1212 0.1212 0.8730
Ca 0.2559 0.2559 0.7504
Ca 0.2679 0.2679 0.3414
Ca 0.5024 0.5024 0.5007
Ca 0.7461 0.7461 0.2508
Ca 0.8791 0.8791 0.1291
Ni 0.0019 0.4988 0.0011
Ni 0.0048 0.4952 0.5018
Ni 0.2299 0.2299 0.1595
Ni 0.2593 0.7393 0.2533
Ni 0.2595 0.7399 0.7507
Ni 0.3723 0.3723 0.6230
Ni 0.4773 0.4773 0.9110
Ni 0.4952 0.0048 0.5018
Ni 0.4988 0.0019 0.0011
Ni 0.5222 0.5222 0.0899
Ni 0.6257 0.6257 0.3772
Ni 0.7375 0.7375 0.6540
Ni 0.7393 0.2593 0.2533
Ni 0.7399 0.2595 0.7507
Ni 0.7683 0.7683 0.8443
Ni 0.9839 0.9839 0.4066
O 0.0430 0.0430 0.7098
O 0.0756 0.0756 0.2070
O 0.0911 0.5727 0.1981
O 0.1080 0.5643 0.6822
O 0.1783 0.6635 0.0582
O 0.1935 0.6193 0.5646
O 0.2051 0.2051 0.5676
O 0.2074 0.2074 0.0613
O 0.2900 0.2900 0.4530
O 0.3213 0.3213 0.9451
O 0.3389 0.8244 0.9439
O 0.3532 0.8221 0.4367
O 0.4338 0.9083 0.8056
O 0.4437 0.8669 0.3161
O 0.4531 0.4531 0.3053
O 0.4621 0.4621 0.8068
O 0.5455 0.5455 0.6774
O 0.5456 0.5456 0.1849
O 0.5643 0.1080 0.6822
O 0.5727 0.0911 0.1981
O 0.6193 0.1935 0.5646
O 0.6635 0.1783 0.0582
O 0.6772 0.6772 0.0592
O 0.7118 0.7118 0.5531
O 0.7921 0.7921 0.9410
O 0.8201 0.8201 0.4394
O 0.8221 0.3532 0.4367
O 0.8244 0.3389 0.9439
O 0.8669 0.4437 0.3161
O 0.9083 0.4338 0.8056
O 0.9142 0.9142 0.8102
O 0.9552 0.9552 0.3107

Peak list (10 most intense, 10 to 80 degrees two-theta, sorted by position)
2θ = 17.35°, I = 55.8; 2θ = 28.92°, I = 48.4; 2θ = 33.64°, I = 62.2; 2θ = 34.05°, I = 71.6; 2θ = 34.33°, I = 100.0; 2θ = 34.41°, I = 89.2; 2θ = 34.90°, I = 52.2; 2θ = 41.31°, I = 55.5; 2θ = 59.92°, I = 55.7; 2θ = 61.74°, I = 56.5



No. 5
Structure and calculated powder diffractogram of CaNi2O4 (the GGA+U geometry in the Materials Project; λ = 1.5418 Å (Cu Kα)).
No peak broadening, texture or thermal motion is included.

Structural model:
Cell lengths 6.0781, 6.0799, 6.0969 Å; angles 118.22, 93.09, 118.13 degrees
Sites, in units of the cell vectors:
Ca 0.1272 0.2550 0.3775
Ca 0.8728 0.7450 0.6225
Ni 0.0000 0.5000 0.0000
Ni 0.5000 0.0000 0.0000
Ni 0.5000 0.0000 0.5000
Ni 0.5000 0.5000 0.0000
O 0.2391 0.5051 0.8112
O 0.2620 0.5735 0.2622
O 0.3060 0.0723 0.8106
O 0.3142 0.0077 0.2414
O 0.6858 0.9923 0.7586
O 0.6940 0.9277 0.1894
O 0.7380 0.4265 0.7378
O 0.7609 0.4949 0.1888

Peak list (10 most intense, 10 to 80 degrees two-theta, sorted by position)
2θ = 17.71°, I = 65.1; 2θ = 29.38°, I = 18.2; 2θ = 33.80°, I = 100.0; 2θ = 35.19°, I = 29.1; 2θ = 35.83°, I = 19.8; 2θ = 40.83°, I = 32.5; 2θ = 54.00°, I = 26.9; 2θ = 59.12°, I = 21.7; 2θ = 60.86°, I = 20.2; 2θ = 61.06°, I = 20.1



No. 6
Structure and calculated powder diffractogram of CaNi2O4 (the GGA+U geometry in the Materials Project; λ = 1.5418 Å (Cu Kα)).
No peak broadening, texture or thermal motion is included.

Structural model:
Cell lengths 6.3871, 6.3871, 6.3871 Å; angles 126.09, 126.09, 79.74 degrees
Sites, in units of the cell vectors:
Ca 0.3750 0.6250 0.7500
Ca 0.6250 0.3750 0.2500
Ni 0.0000 0.0000 0.0000
Ni 0.0000 0.0000 0.5000
Ni 0.0000 0.5000 0.0000
Ni 0.5000 0.0000 0.5000
O 0.1934 0.2279 0.9655
O 0.2279 0.1934 0.4655
O 0.2279 0.7623 0.0345
O 0.2377 0.7721 0.4655
O 0.7623 0.2279 0.5345
O 0.7721 0.2377 0.9655
O 0.7721 0.8066 0.5345
O 0.8066 0.7721 0.0345

Peak list (10 most intense, 10 to 80 degrees two-theta, sorted by position)
2θ = 17.79°, I = 77.9; 2θ = 28.40°, I = 24.3; 2θ = 31.43°, I = 65.8; 2θ = 35.87°, I = 100.0; 2θ = 36.03°, I = 28.4; 2θ = 36.67°, I = 28.9; 2θ = 44.24°, I = 33.7; 2θ = 49.05°, I = 32.4; 2θ = 58.21°, I = 34.8; 2θ = 58.77°, I = 59.2



No. 7
Structure and calculated powder diffractogram of CaNi3O7 (the GGA+U geometry in the Materials Project; λ = 1.5418 Å (Cu Kα)).
No peak broadening, texture or thermal motion is included.

Structural model:
Cell lengths 11.4232, 10.2490, 5.2655 Å; angles 90.00, 90.00, 90.00 degrees
Sites, in units of the cell vectors:
Ca 0.0858 0.2500 0.1741
Ca 0.4142 0.7500 0.6741
Ca 0.5858 0.2500 0.3259
Ca 0.9142 0.7500 0.8259
Ni 0.2002 0.5243 0.7003
Ni 0.2002 0.9757 0.7003
Ni 0.2384 0.7500 0.1760
Ni 0.2616 0.2500 0.6760
Ni 0.2998 0.0243 0.2003
Ni 0.2998 0.4757 0.2003
Ni 0.7002 0.5243 0.7997
Ni 0.7002 0.9757 0.7997
Ni 0.7384 0.7500 0.3240
Ni 0.7616 0.2500 0.8240
Ni 0.7998 0.0243 0.2997
Ni 0.7998 0.4757 0.2997
O 0.0592 0.5938 0.7594
O 0.0592 0.9062 0.7594
O 0.0762 0.7500 0.0890
O 0.2060 0.1199 0.4518
O 0.2060 0.3801 0.4518
O 0.2273 0.1206 0.9281
O 0.2273 0.3794 0.9281
O 0.2727 0.6206 0.4281
O 0.2727 0.8794 0.4281
O 0.2940 0.6199 0.9518
O 0.2940 0.8801 0.9518
O 0.4238 0.2500 0.5890
O 0.4408 0.0938 0.2594
O 0.4408 0.4062 0.2594
O 0.5592 0.5938 0.7406
O 0.5592 0.9062 0.7406
O 0.5762 0.7500 0.4110
O 0.7060 0.1199 0.0482
O 0.7060 0.3801 0.0482
O 0.7273 0.1206 0.5719
O 0.7273 0.3794 0.5719
O 0.7727 0.6206 0.0719
O 0.7727 0.8794 0.0719
O 0.7940 0.6199 0.5482
O 0.7940 0.8801 0.5482
O 0.9238 0.2500 0.9110
O 0.9408 0.0938 0.2406
O 0.9408 0.4062 0.2406

Peak list (10 most intense, 10 to 80 degrees two-theta, sorted by position)
2θ = 15.51°, I = 100.0; 2θ = 24.58°, I = 22.8; 2θ = 28.91°, I = 47.3; 2θ = 31.21°, I = 14.9; 2θ = 34.05°, I = 9.6; 2θ = 35.01°, I = 29.5; 2θ = 50.33°, I = 17.1; 2θ = 50.95°, I = 14.2; 2θ = 52.34°, I = 11.7; 2θ = 54.27°, I = 9.2



No. 8
Structure and calculated powder diffractogram of CaNi2O4 (the GGA+U geometry in the Materials Project; λ = 1.5418 Å (Cu Kα)).
No peak broadening, texture or thermal motion is included.

Structural model:
Cell lengths 6.0857, 6.0857, 6.0857 Å; angles 118.20, 118.20, 93.15 degrees
Sites, in units of the cell vectors:
Ca 0.3750 0.1250 0.2500
Ca 0.6250 0.8750 0.7500
Ni 0.0000 0.0000 0.5000
Ni 0.0000 0.5000 0.0000
Ni 0.0000 0.5000 0.5000
Ni 0.5000 0.5000 0.0000
O 0.1880 0.7624 0.4971
O 0.1909 0.6880 0.9256
O 0.2347 0.3091 0.9971
O 0.2624 0.2653 0.5744
O 0.7376 0.7347 0.4256
O 0.7653 0.6909 0.0029
O 0.8091 0.3120 0.0744
O 0.8120 0.2376 0.5029

Peak list (10 most intense, 10 to 80 degrees two-theta, sorted by position)
2θ = 17.71°, I = 68.2; 2θ = 29.40°, I = 18.8; 2θ = 33.81°, I = 100.0; 2θ = 35.24°, I = 40.2; 2θ = 35.87°, I = 26.7; 2θ = 40.83°, I = 32.8; 2θ = 54.02°, I = 37.1; 2θ = 56.97°, I = 16.4; 2θ = 59.12°, I = 21.9; 2θ = 60.99°, I = 40.8